Record 1
The following is a computed powder XRD pattern of AcPr3Pt. It was derived from a DFT-relaxed cell (PBE, Alexandria), using Cu Kα (weighted mean of Kα1 and Kα2).

Atomic structure:
a b c (Å): 8.504 7.751 10.624
angles (deg): 90.00 106.92 90.00
Positions (direct):
Ac 0.183 0.036 0.255
Ac 0.183 0.464 0.755
Ac 0.817 0.536 0.245
Ac 0.817 0.964 0.745
Pr 0.062 0.704 0.022
Pr 0.062 0.796 0.522
Pr 0.286 0.509 0.380
Pr 0.286 0.991 0.880
Pr 0.413 0.131 0.609
Pr 0.413 0.369 0.109
Pr 0.587 0.631 0.891
Pr 0.587 0.869 0.391
Pr 0.714 0.009 0.120
Pr 0.714 0.491 0.620
Pr 0.938 0.204 0.478
Pr 0.938 0.296 0.978
Pt 0.435 0.745 0.603
Pt 0.435 0.755 0.103
Pt 0.565 0.245 0.897
Pt 0.565 0.255 0.397

Largest 6 diffraction maxima, in order of rising 2θ, 2θ from 5° to 70°:
2θ = 27.90°, d = 3.198 Å, rel. 67, (1 1 -3)
2θ = 28.34°, d = 3.149 Å, rel. 64, (2 1 1)
2θ = 28.97°, d = 3.082 Å, rel. 49, (0 2 2)
2θ = 29.12°, d = 3.067 Å, rel. 54, (1 2 -2)
2θ = 31.91°, d = 2.805 Å, rel. 100, (2 2 0)
2θ = 32.59°, d = 2.748 Å, rel. 71, (3 0 -2)

=====

Record 2
The following is a computed powder XRD pattern of SrHg2Pd2. It was derived from a DFT-relaxed cell (PBE, Alexandria), using Cu Kα (weighted mean of Kα1 and Kα2).

Atomic structure:
a b c (Å): 7.722 7.722 3.668
angles (deg): 90.00 90.00 90.00
Positions (direct):
Sr 0.000 0.000 0.000
Sr 0.500 0.500 0.000
Hg 0.160 0.340 0.500
Hg 0.340 0.840 0.500
Hg 0.660 0.160 0.500
Hg 0.840 0.660 0.500
Pd 0.132 0.632 0.000
Pd 0.368 0.132 0.000
Pd 0.632 0.868 0.000
Pd 0.868 0.368 0.000

Largest 6 diffraction maxima, in order of rising 2θ, 2θ from 5° to 70°:
2θ = 16.23°, d = 5.460 Å, rel. 12, (1 1 0)
2θ = 33.70°, d = 2.659 Å, rel. 16, (2 0 1)
2θ = 35.71°, d = 2.514 Å, rel. 100, (2 1 1)
2θ = 36.81°, d = 2.442 Å, rel. 37, (3 1 0)
2θ = 55.06°, d = 1.668 Å, rel. 11, (4 1 1)
2θ = 63.43°, d = 1.466 Å, rel. 15, (3 1 2)

=====

Q: What is the formula in the second record?
A: SrHg2Pd2